Record 1
Structure and simulated X-ray diffraction stick pattern of Pr2HoEr5Th (a structure optimized by DFT (PBE); Cu Ka).
Neutral-atom scattering factors, no anomalous dispersion.

Cell and atoms:
```
data_Pr2HoEr5Th
_cell_length_a 8.684
_cell_length_b 8.684
_cell_length_c 15.414
_cell_angle_alpha 90.00
_cell_angle_beta 90.00
_cell_angle_gamma 90.00
_space_group_name_H-M_alt 'I 4/m c m'
_space_group_IT_number 140
_space_group_name_Hall '-I 4 2c'
loop_
_atom_site_label
_atom_site_fract_x
_atom_site_fract_y
_atom_site_fract_z
Pr1 0.117 0.383 0.000
Ho1 0.000 0.500 0.250
Er1 0.000 0.000 0.000
Er2 0.214 0.286 0.359
Th1 0.000 0.000 0.250
```

Most intense lines, 2θ from 15° to 90°, low angle first:
h k l, 2theta, I/Imax
2 1 3, 28.82, 37
2 2 0, 29.08, 55
2 0 4, 31.03, 100
3 1 0, 32.61, 14
3 2 1, 37.80, 13
2 0 6, 40.81, 10
4 0 2, 43.32, 19
0 0 8, 47.17, 11
4 2 4, 52.79, 27
2 2 8, 56.38, 13

=====

Record 2
Structure and simulated X-ray diffraction stick pattern of Th2Ni4Ge (a structure optimized by DFT (PBE); Cu Ka).
Neutral-atom scattering factors, no anomalous dispersion.

Cell and atoms:
```
data_Th2Ni4Ge
_cell_length_a 7.584
_cell_length_b 8.616
_cell_length_c 8.123
_cell_angle_alpha 90.00
_cell_angle_beta 90.00
_cell_angle_gamma 90.00
_space_group_name_H-M_alt 'F m m 2'
_space_group_IT_number 42
_space_group_name_Hall 'F 2 -2'
loop_
_atom_site_label
_atom_site_fract_x
_atom_site_fract_y
_atom_site_fract_z
Th1 0.250 0.250 0.000
Ni1 0.000 0.235 0.252
Ni2 0.170 0.000 0.248
Ge1 0.000 0.000 0.722
```

Most intense lines, 2θ from 15° to 90°, low angle first:
h k l, 2theta, I/Imax
0 2 0, 20.62, 49
2 0 0, 23.46, 25
0 2 2, 30.24, 78
2 2 0, 31.43, 27
2 0 2, 32.30, 82
2 2 2, 38.63, 100
0 4 0, 41.94, 36
0 0 4, 44.62, 30
2 4 2, 53.91, 38
2 6 2, 74.40, 21

=====

Record 3
Structure and simulated X-ray diffraction stick pattern of PrHo7Tm3 (a structure optimized by DFT (PBE); Cu Ka).
Neutral-atom scattering factors, no anomalous dispersion.

Cell and atoms:
```
data_PrHo7Tm3
_cell_length_a 6.898
_cell_length_b 5.509
_cell_length_c 9.812
_cell_angle_alpha 90.00
_cell_angle_beta 109.16
_cell_angle_gamma 90.00
_space_group_name_H-M_alt 'P 1 2/m 1'
_space_group_IT_number 10
loop_
_space_group_symop_operation_xyz
'x,y,z'
'-x,-y,-z'
'-x,y,-z'
'x,-y,z'
loop_
_atom_site_label
_atom_site_fract_x
_atom_site_fract_y
_atom_site_fract_z
Pr1 0.000 0.000 0.000
Ho1 0.000 0.000 0.500
Ho2 0.149 0.500 0.790
Ho3 0.327 0.500 0.143
Ho4 0.429 0.000 0.333
Tm1 0.275 0.500 0.494
Tm2 0.500 0.000 0.000
```

Most intense lines, 2θ from 15° to 90°, low angle first:
h k l, 2theta, I/Imax
1 1 2, 31.61, 26
2 1 0, 31.92, 100
1 1 -3, 32.11, 37
2 1 -2, 32.31, 64
0 2 0, 32.51, 72
2 0 -3, 32.75, 23
0 1 3, 33.25, 75
2 2 -3, 46.82, 17
0 3 3, 58.47, 17
4 2 -2, 63.68, 19